NdSbPd: theoretical powder X-ray diffraction pattern (copper Kα), based on the GGA-PBE geometry in the Materials Project.

Atomic structure:
```
6
Lattice="4.618 0.000 0.000 -2.309 4.000 0.000 0.000 0.000 8.022" Properties=species:S:1:pos:R:3 pbc="T T T"
Nd 0.000 0.000 0.000
Nd 0.000 0.000 4.011
Sb 0.000 2.666 2.005
Sb 2.309 1.333 6.016
Pd 0.000 2.666 6.016
Pd 2.309 1.333 2.005
```

Top 10 peaks for 15 to 90 degrees two-theta, in order of rising 2θ:
| d/Å | 2θ (°) | Rel. int. |
| --- | --- | --- |
| 2.832 | 31.59 | 100.0 |
| 2.309 | 39.01 | 58.5 |
| 2.005 | 45.22 | 12.8 |
| 1.790 | 51.03 | 26.2 |
| 1.514 | 61.22 | 30.7 |
| 1.415 | 66.05 | 23.7 |
| 1.333 | 70.66 | 10.0 |
| 1.268 | 74.89 | 8.2 |
| 1.155 | 83.78 | 6.3 |
| 1.110 | 87.96 | 12.1 |

Mo3WSe4S4: theoretical powder X-ray diffraction pattern (copper Kα), based on the GGA-PBE geometry in the Materials Project.

Atomic structure:
```
12
Lattice="3.252 0.000 0.000 -1.626 2.817 0.000 0.000 0.000 36.854" Properties=species:S:1:pos:R:3 pbc="T T T"
Mo 0.000 0.000 0.000
Mo 0.000 0.000 13.847
Mo 1.626 0.939 29.928
W 1.626 0.939 6.923
Se 0.000 0.000 28.229
Se 0.000 0.000 31.628
Se 1.626 0.939 12.148
Se 1.626 0.939 15.546
S 0.000 0.000 5.373
S 0.000 0.000 8.472
S 1.626 0.939 1.545
S 1.626 0.939 35.307
```

Top 10 peaks for 15 to 90 degrees two-theta, in order of rising 2θ:
| d/Å | 2θ (°) | Rel. int. |
| --- | --- | --- |
| 2.814 | 31.80 | 56.1 |
| 2.631 | 34.08 | 21.3 |
| 2.403 | 37.42 | 100.0 |
| 2.238 | 40.30 | 15.2 |
| 1.998 | 45.39 | 61.2 |
| 1.923 | 47.26 | 21.3 |
| 1.626 | 56.61 | 32.4 |
| 1.588 | 58.09 | 15.9 |
| 1.347 | 69.84 | 15.9 |
| 1.193 | 80.53 | 16.3 |

KTcO4: theoretical powder X-ray diffraction pattern (copper Kα), based on the GGA-PBE geometry in the Materials Project.

Atomic structure:
```
12
Lattice="-2.895 2.895 6.548 2.895 -2.895 6.548 2.895 2.895 -6.548" Properties=species:S:1:pos:R:3 pbc="T T T"
K 0.000 1.447 1.637
K 2.895 1.447 4.911
Tc 2.895 1.447 -1.637
Tc 0.000 1.447 8.185
O 1.616 0.798 -0.645
O 2.245 -0.169 2.630
O 2.245 2.725 -2.630
O 1.278 -0.798 5.904
O 1.616 3.693 0.645
O 0.649 0.169 9.178
O 0.649 3.064 3.919
O 1.278 2.096 7.193
```

Top 10 peaks for 15 to 90 degrees two-theta, in order of rising 2θ:
| d/Å | 2θ (°) | Rel. int. |
| --- | --- | --- |
| 5.295 | 16.74 | 40.3 |
| 3.486 | 25.56 | 16.3 |
| 3.471 | 25.66 | 100.0 |
| 3.274 | 27.24 | 13.9 |
| 2.895 | 30.89 | 18.6 |
| 2.169 | 41.65 | 26.8 |
| 1.926 | 47.19 | 14.6 |
| 1.763 | 51.86 | 23.4 |
| 1.736 | 52.74 | 12.1 |
| 1.403 | 66.68 | 13.7 |

Tl3F: theoretical powder X-ray diffraction pattern (copper Kα), based on the GGA-PBE geometry in the Materials Project.

Atomic structure:
```
4
Lattice="-2.214 2.214 5.535 2.214 -2.214 5.535 2.214 2.214 -5.535" Properties=species:S:1:pos:R:3 pbc="T T T"
Tl 0.000 0.000 0.000
Tl 2.214 0.000 2.768
Tl 0.000 2.214 2.768
F 0.000 0.000 5.535
```

Top 10 peaks for 15 to 90 degrees two-theta, in order of rising 2θ:
| d/Å | 2θ (°) | Rel. int. |
| --- | --- | --- |
| 5.535 | 16.01 | 11.6 |
| 4.111 | 21.62 | 23.4 |
| 2.768 | 32.35 | 26.1 |
| 2.725 | 32.87 | 100.0 |
| 2.214 | 40.76 | 27.9 |
| 1.729 | 52.97 | 26.3 |
| 1.590 | 58.02 | 20.0 |
| 1.363 | 68.91 | 12.0 |
| 1.357 | 69.21 | 23.7 |
| 1.115 | 87.45 | 13.2 |

Li2ErIn: theoretical powder X-ray diffraction pattern (copper Kα), based on the GGA-PBE geometry in the Materials Project.

Atomic structure:
```
4
Lattice="0.000 3.423 3.423 3.423 0.000 3.423 3.423 3.423 0.000" Properties=species:S:1:pos:R:3 pbc="T T T"
Li 1.711 1.711 1.711
Li 5.134 5.134 5.134
Er 0.000 0.000 0.000
In 3.423 3.423 3.423
```

Top 10 peaks for 15 to 90 degrees two-theta, in order of rising 2θ:
| d/Å | 2θ (°) | Rel. int. |
| --- | --- | --- |
| 3.952 | 22.50 | 5.8 |
| 3.423 | 26.03 | 100.0 |
| 2.420 | 37.15 | 91.2 |
| 2.064 | 43.87 | 3.3 |
| 1.976 | 45.92 | 28.8 |
| 1.711 | 53.55 | 15.8 |
| 1.531 | 60.48 | 37.6 |
| 1.397 | 66.97 | 31.9 |
| 1.210 | 79.15 | 10.0 |
| 1.141 | 85.02 | 18.4 |

Mg6MnB: theoretical powder X-ray diffraction pattern (copper Kα), based on the GGA-PBE geometry in the Materials Project.

Atomic structure:
```
8
Lattice="4.674 0.000 0.000 0.000 3.030 5.259 0.000 -3.030 5.259" Properties=species:S:1:pos:R:3 pbc="T T T"
Mg 0.000 0.000 0.000
Mg 0.000 -1.484 2.739
Mg 0.000 0.000 5.209
Mg 0.000 1.484 2.739
Mg 2.337 -1.517 6.195
Mg 2.337 1.517 6.195
Mn 2.337 0.000 8.843
B 2.337 0.000 3.593
```

Top 10 peaks for 15 to 90 degrees two-theta, in order of rising 2θ:
| d/Å | 2θ (°) | Rel. int. |
| --- | --- | --- |
| 5.252 | 16.88 | 18.6 |
| 3.491 | 25.51 | 15.1 |
| 2.627 | 34.13 | 25.5 |
| 2.337 | 38.52 | 23.8 |
| 2.290 | 39.34 | 100.0 |
| 1.746 | 52.40 | 13.9 |
| 1.517 | 61.07 | 10.9 |
| 1.340 | 70.23 | 16.1 |
| 1.272 | 74.60 | 17.5 |
| 1.264 | 75.18 | 8.9 |

KOsNO3: theoretical powder X-ray diffraction pattern (copper Kα), based on the GGA-PBE geometry in the Materials Project.

Atomic structure:
```
12
Lattice="5.811 0.000 0.000 0.001 5.812 0.000 2.880 2.807 6.728" Properties=species:S:1:pos:R:3 pbc="T T T"
K 0.000 0.000 0.000
K 2.896 5.775 3.364
Os 2.918 2.921 0.014
Os 5.793 2.879 3.379
N 4.527 5.162 5.757
N 6.373 1.616 2.394
O 2.275 4.233 1.002
O 4.473 2.228 4.356
O 3.491 1.568 0.995
O 5.204 4.183 2.342
O 7.093 6.335 5.707
O 7.138 3.445 4.370
```

Top 10 peaks for 15 to 90 degrees two-theta, in order of rising 2θ:
| d/Å | 2θ (°) | Rel. int. |
| --- | --- | --- |
| 5.353 | 16.56 | 58.9 |
| 5.317 | 16.67 | 56.3 |
| 3.551 | 25.08 | 24.3 |
| 3.523 | 25.28 | 100.0 |
| 3.491 | 25.52 | 87.6 |
| 3.364 | 26.50 | 31.4 |
| 2.906 | 30.77 | 41.6 |
| 2.557 | 35.10 | 14.1 |
| 2.055 | 44.08 | 16.5 |
| 1.768 | 51.72 | 19.2 |

Eu2Ir2O7: theoretical powder X-ray diffraction pattern (copper Kα), based on the GGA-PBE geometry in the Materials Project.

Atomic structure:
```
22
Lattice="0.000 5.233 5.233 5.233 0.000 5.233 5.233 5.233 0.000" Properties=species:S:1:pos:R:3 pbc="T T T"
Eu 0.000 0.000 0.000
Eu 2.617 2.617 0.000
Eu 2.617 0.000 2.617
Eu 0.000 2.617 2.617
Ir 5.233 2.617 2.617
Ir 2.617 5.233 2.617
Ir 2.617 2.617 5.233
Ir 5.233 5.233 5.233
O 1.308 1.308 1.308
O 3.925 3.925 1.802
O 3.925 1.802 3.925
O 6.048 3.925 3.925
O 6.542 6.542 4.419
O 6.542 4.419 6.542
O 8.664 6.542 6.542
O 1.802 3.925 3.925
O 3.925 6.048 3.925
O 3.925 3.925 6.048
O 4.419 6.542 6.542
O 6.542 8.664 6.542
O 6.542 6.542 8.664
O 9.158 9.158 9.158
```

Top 10 peaks for 15 to 90 degrees two-theta, in order of rising 2θ:
| d/Å | 2θ (°) | Rel. int. |
| --- | --- | --- |
| 3.156 | 28.28 | 2.0 |
| 3.021 | 29.57 | 100.0 |
| 2.617 | 34.27 | 37.6 |
| 2.014 | 45.01 | 0.7 |
| 1.850 | 49.25 | 44.4 |
| 1.578 | 58.49 | 44.3 |
| 1.511 | 61.37 | 11.3 |
| 1.308 | 72.21 | 6.7 |
| 1.201 | 79.90 | 18.3 |
| 1.170 | 82.42 | 15.7 |